The following is a simulated X-ray diffraction stick pattern of CrP2O7. It was derived from a structure optimized by DFT (GGA+U), using Cu Kα (weighted mean of Kα1 and Kα2).

Most intense lines, 2θ from 10° to 80°, in order of rising 2θ:
- (1 1 0), 14.84°, I = 21.3
- (1 1 1), 17.92°, I = 100.0
- (1 1 -2), 18.09°, I = 31.8
- (2 0 0), 19.92°, I = 21.2
- (1 1 -3), 23.20°, I = 33.0
- (0 0 4), 28.91°, I = 34.1
- (2 2 -2), 30.02°, I = 63.4
- (3 1 -1), 30.51°, I = 41.1
- (0 2 3), 31.04°, I = 13.8
- (3 1 -4), 35.68°, I = 18.0
- (2 2 2), 36.32°, I = 16.8
- (3 3 -1), 44.31°, I = 13.3

Structure:
```
data_CrP2O7
_chemical_formula_sum 'Cr8 P16 O56'
_space_group_name_H-M_alt 'C 1 2/c 1'
_space_group_IT_number 15
_space_group_name_Hall '-C 2yc'
_cell_length_a 9.5041
_cell_length_b 8.0640
_cell_length_c 13.1729
_cell_angle_alpha 90.00
_cell_angle_beta 110.31
_cell_angle_gamma 90.00
loop_
_atom_site_label
_atom_site_type_symbol
_atom_site_fract_x
_atom_site_fract_y
_atom_site_fract_z
Cr1 Cr 0.1464 0.2325 0.1451
P1 P 0.1261 0.0412 0.9297
P2 P 0.1676 0.4142 0.3640
O1 O 0.0162 0.0443 0.1446
O2 O 0.0163 0.3884 0.3778
O3 O 0.0963 0.1910 0.9921
O4 O 0.1835 0.4119 0.8222
O5 O 0.2034 0.2743 0.2972
O6 O 0.2074 0.0993 0.5174
O7 O 0.2295 0.0875 0.8678
```